# Li2PrTl
Simulated powder XRD pattern, Cu Kα. Input: the GGA-PBE geometry in the Materials Project.
Kinematic intensities with the Lorentz-polarization factor, no thermal factor.

Cell and atoms:
```
Li2PrTl
1.0
0.000 3.528 3.528
3.528 0.000 3.528
3.528 3.528 0.000
Li Pr Tl
2 1 1
Direct
0.250 0.250 0.250 Li
0.750 0.750 0.750 Li
0.000 0.000 0.000 Pr
0.500 0.500 0.500 Tl
```

Peak list (10 most intense, 2θ = 10–80°, sorted by position)
d (Å)	intensity
4.074	5.4
3.528	100.0
2.495	90.5
2.128	3.2
2.037	29.8
1.764	16.2
1.619	1.4
1.578	39.9
1.440	33.2
1.247	10.3